1.
# Ce3Zn8Au3
Calculated powder X-ray diffraction pattern, a wavelength of 1.5418 Å. Input: the PBE geometry in Alexandria.
Neutral-atom scattering factors, no anomalous dispersion.

Largest 10 diffraction maxima, low angle first, 2θ from 15° to 90°:
28.8 deg, d 3.103, I = 256
34.7 deg, d 2.588, I = 1000
35.7 deg, d 2.514, I = 149
38.2 deg, d 2.353, I = 220
40.5 deg, d 2.226, I = 314
40.8 deg, d 2.210, I = 200
44.4 deg, d 2.040, I = 137
58.9 deg, d 1.568, I = 135
68.4 deg, d 1.372, I = 116
70.0 deg, d 1.345, I = 146

Structural model:
a b c (Å): 8.3593 8.3593 8.3593
angles (deg): 149.11 113.58 75.03
Atoms (fractional coordinates):
Ce 0.0000 0.0000 0.0000
Ce 0.3081 0.3081 0.0000
Ce 0.6919 0.6919 0.0000
Zn 0.0371 0.6742 0.3628
Zn 0.1426 0.8647 0.2779
Zn 0.3114 0.6742 0.6372
Zn 0.4133 0.1353 0.2779
Zn 0.5867 0.8647 0.7221
Zn 0.6886 0.3258 0.3628
Zn 0.8574 0.1353 0.7221
Zn 0.9629 0.3258 0.6372
Au 0.2758 0.5000 0.7758
Au 0.5000 0.0000 0.5000
Au 0.7242 0.5000 0.2242

2.
# La2Zn7Au
Calculated powder X-ray diffraction pattern, a wavelength of 1.5418 Å. Input: the PBE geometry in Alexandria.
Neutral-atom scattering factors, no anomalous dispersion.

Largest 10 diffraction maxima, low angle first, 2θ from 15° to 90°:
32.8 deg, d 2.726, I = 458
33.5 deg, d 2.672, I = 1000
41.0 deg, d 2.201, I = 540
45.4 deg, d 1.998, I = 150
48.3 deg, d 1.883, I = 193
53.5 deg, d 1.712, I = 226
59.4 deg, d 1.556, I = 176
61.1 deg, d 1.516, I = 133
65.2 deg, d 1.431, I = 153
70.0 deg, d 1.345, I = 230

Structural model:
a b c (Å): 4.4012 4.4012 10.4196
angles (deg): 90.00 90.00 90.00
Atoms (fractional coordinates):
La 0.0000 0.5000 0.2471
La 0.5000 0.0000 0.7529
Zn 0.0000 0.0000 0.0000
Zn 0.0000 0.5000 0.6368
Zn 0.0000 0.5000 0.8741
Zn 0.5000 0.0000 0.1259
Zn 0.5000 0.0000 0.3632
Zn 0.5000 0.5000 0.0000
Zn 0.5000 0.5000 0.5000
Au 0.0000 0.0000 0.5000

3.
# RbPuSn2Br8
Calculated powder X-ray diffraction pattern, a wavelength of 1.5418 Å. Input: the PBE geometry in Alexandria.
Neutral-atom scattering factors, no anomalous dispersion.

Largest 10 diffraction maxima, low angle first, 2θ from 15° to 90°:
17.4 deg, d 5.091, I = 1000
18.0 deg, d 4.934, I = 860
22.4 deg, d 3.964, I = 485
23.2 deg, d 3.827, I = 578
27.4 deg, d 3.258, I = 471
33.1 deg, d 2.707, I = 517
34.7 deg, d 2.588, I = 795
34.9 deg, d 2.574, I = 454
35.2 deg, d 2.549, I = 714
40.8 deg, d 2.212, I = 439

Structural model:
a b c (Å): 6.9311 7.2822 9.4437
angles (deg): 86.17 87.67 88.05
Atoms (fractional coordinates):
Rb 0.0000 0.0000 0.0000
Pu 0.0000 0.0000 0.5000
Sn 0.4901 0.4866 0.2487
Sn 0.5099 0.5134 0.7513
Br 0.2397 0.3244 0.4736
Br 0.2426 0.8350 0.2869
Br 0.2599 0.8570 0.7148
Br 0.2680 0.3809 0.0370
Br 0.7320 0.6191 0.9630
Br 0.7401 0.1430 0.2852
Br 0.7574 0.1650 0.7131
Br 0.7603 0.6756 0.5264

4.
# NaS2
Calculated powder X-ray diffraction pattern, a wavelength of 1.5418 Å. Input: the PBE geometry in Alexandria.
Neutral-atom scattering factors, no anomalous dispersion.

Largest 10 diffraction maxima, low angle first, 2θ from 15° to 90°:
21.8 deg, d 4.075, I = 487
24.2 deg, d 3.682, I = 270
28.6 deg, d 3.119, I = 408
30.5 deg, d 2.932, I = 1000
32.8 deg, d 2.727, I = 862
39.0 deg, d 2.307, I = 349
40.1 deg, d 2.251, I = 274
40.5 deg, d 2.228, I = 293
53.5 deg, d 1.714, I = 253
68.2 deg, d 1.375, I = 173

Structural model:
a b c (Å): 9.0897 9.0897 9.0897
angles (deg): 115.55 115.55 97.89
Atoms (fractional coordinates):
Na 0.1472 0.6250 0.0222
Na 0.1699 0.1699 0.0000
Na 0.3750 0.3972 0.5222
Na 0.5801 0.0801 0.5000
Na 0.6028 0.1250 0.9778
Na 0.8301 0.8301 0.0000
Na 0.8750 0.8528 0.4778
Na 0.9199 0.4199 0.5000
S 0.0001 0.5291 0.2351
S 0.0125 0.2941 0.2159
S 0.0441 0.2625 0.7159
S 0.0782 0.7966 0.7841
S 0.2034 0.9875 0.2816
S 0.2350 0.9999 0.5290
S 0.2791 0.2501 0.7351
S 0.2940 0.7650 0.7649
S 0.4560 0.7209 0.9710
S 0.4709 0.7060 0.4710
S 0.5150 0.5440 0.2649
S 0.5466 0.3282 0.2841
S 0.6718 0.9559 0.2184
S 0.7059 0.9218 0.7184
S 0.7375 0.4534 0.7816
S 0.7499 0.4850 0.0290

5.
# Sm5Th3S8
Calculated powder X-ray diffraction pattern, a wavelength of 1.5418 Å. Input: the PBE geometry in Alexandria.
Neutral-atom scattering factors, no anomalous dispersion.

Largest 10 diffraction maxima, low angle first, 2θ from 15° to 90°:
26.9 deg, d 3.315, I = 227
27.3 deg, d 3.271, I = 659
31.5 deg, d 2.842, I = 1000
44.9 deg, d 2.020, I = 372
45.3 deg, d 2.000, I = 361
53.5 deg, d 1.712, I = 222
56.2 deg, d 1.636, I = 190
74.3 deg, d 1.276, I = 167
75.0 deg, d 1.266, I = 163
83.4 deg, d 1.158, I = 126

Structural model:
a b c (Å): 8.0796 8.0796 8.0796
angles (deg): 59.35 59.35 59.35
Atoms (fractional coordinates):
Sm 0.0000 0.0000 0.0000
Sm 0.0000 0.5000 0.5000
Sm 0.5000 0.0000 0.5000
Sm 0.5000 0.5000 0.0000
Sm 0.5000 0.5000 0.5000
Th 0.0000 0.0000 0.5000
Th 0.0000 0.5000 0.0000
Th 0.5000 0.0000 0.0000
S 0.2499 0.2499 0.7472
S 0.2499 0.7472 0.2499
S 0.2518 0.2518 0.2518
S 0.2528 0.7501 0.7501
S 0.7472 0.2499 0.2499
S 0.7482 0.7482 0.7482
S 0.7501 0.2528 0.7501
S 0.7501 0.7501 0.2528

6.
# Tl3Ag2I2F4
Calculated powder X-ray diffraction pattern, a wavelength of 1.5418 Å. Input: the PBE geometry in Alexandria.
Neutral-atom scattering factors, no anomalous dispersion.

Largest 10 diffraction maxima, low angle first, 2θ from 15° to 90°:
27.4 deg, d 3.249, I = 715
31.0 deg, d 2.888, I = 1000
34.5 deg, d 2.599, I = 169
39.2 deg, d 2.298, I = 376
49.7 deg, d 1.833, I = 99
50.8 deg, d 1.798, I = 502
56.7 deg, d 1.625, I = 125
64.1 deg, d 1.453, I = 135
66.0 deg, d 1.416, I = 114
79.5 deg, d 1.206, I = 187

Structural model:
a b c (Å): 13.3921 13.3921 13.3921
angles (deg): 160.24 160.24 28.08
Atoms (fractional coordinates):
Tl 0.0000 0.0000 0.0000
Tl 0.1483 0.1483 0.0000
Tl 0.8517 0.8517 0.0000
Ag 0.4185 0.4185 0.0000
Ag 0.5815 0.5815 0.0000
I 0.3033 0.3033 0.0000
I 0.6967 0.6967 0.0000
F 0.0695 0.5695 0.5000
F 0.4305 0.9305 0.5000
F 0.5695 0.0695 0.5000
F 0.9305 0.4305 0.5000

7.
# Dy3CdPt2
Calculated powder X-ray diffraction pattern, a wavelength of 1.5418 Å. Input: the PBE geometry in Alexandria.
Neutral-atom scattering factors, no anomalous dispersion.

Largest 10 diffraction maxima, low angle first, 2θ from 15° to 90°:
35.6 deg, d 2.525, I = 1000
36.0 deg, d 2.494, I = 178
50.9 deg, d 1.793, I = 74
51.5 deg, d 1.776, I = 129
63.6 deg, d 1.463, I = 76
63.8 deg, d 1.459, I = 146
63.9 deg, d 1.456, I = 67
64.5 deg, d 1.446, I = 115
75.3 deg, d 1.262, I = 84
85.7 deg, d 1.133, I = 66

Structural model:
a b c (Å): 5.0580 14.9633 3.5869
angles (deg): 90.00 90.00 90.00
Atoms (fractional coordinates):
Dy 0.0000 0.0000 0.0000
Dy 0.0000 0.3226 0.0000
Dy 0.0000 0.6774 0.0000
Dy 0.5000 0.1774 0.0000
Dy 0.5000 0.5000 0.0000
Dy 0.5000 0.8226 0.0000
Cd 0.0000 0.5000 0.5000
Cd 0.5000 0.0000 0.5000
Pt 0.0000 0.1577 0.5000
Pt 0.0000 0.8423 0.5000
Pt 0.5000 0.3423 0.5000
Pt 0.5000 0.6577 0.5000

8.
# CaAc5PmPr2
Calculated powder X-ray diffraction pattern, a wavelength of 1.5418 Å. Input: the PBE geometry in Alexandria.
Neutral-atom scattering factors, no anomalous dispersion.

Largest 10 diffraction maxima, low angle first, 2θ from 15° to 90°:
24.7 deg, d 3.598, I = 258
25.0 deg, d 3.560, I = 138
28.3 deg, d 3.150, I = 374
29.5 deg, d 3.032, I = 1000
29.9 deg, d 2.991, I = 374
31.8 deg, d 2.816, I = 239
44.2 deg, d 2.050, I = 196
50.8 deg, d 1.799, I = 98
52.8 deg, d 1.734, I = 201
56.7 deg, d 1.623, I = 111

Structural model:
a b c (Å): 11.6456 11.6456 11.2687
angles (deg): 90.00 90.00 150.24
Atoms (fractional coordinates):
Ca 0.0979 0.9021 0.7500
Ca 0.9021 0.0979 0.2500
Ac 0.0000 0.0000 0.0000
Ac 0.0000 0.0000 0.5000
Ac 0.1297 0.8703 0.2500
Ac 0.2194 0.7806 0.5612
Ac 0.2194 0.7806 0.9388
Ac 0.4968 0.5032 0.2500
Ac 0.5032 0.4968 0.7500
Ac 0.7806 0.2194 0.0612
Ac 0.7806 0.2194 0.4388
Ac 0.8703 0.1297 0.7500
Pm 0.3061 0.6939 0.2500
Pm 0.6939 0.3061 0.7500
Pr 0.3855 0.6145 0.5184
Pr 0.3855 0.6145 0.9816
Pr 0.6145 0.3855 0.0184
Pr 0.6145 0.3855 0.4816

9.
# Hf12Ga6Sb
Calculated powder X-ray diffraction pattern, a wavelength of 1.5418 Å. Input: the PBE geometry in Alexandria.
Neutral-atom scattering factors, no anomalous dispersion.

Largest 10 diffraction maxima, low angle first, 2θ from 15° to 90°:
27.5 deg, d 3.244, I = 124
30.8 deg, d 2.901, I = 222
33.8 deg, d 2.649, I = 478
36.6 deg, d 2.452, I = 1000
39.3 deg, d 2.294, I = 250
41.8 deg, d 2.163, I = 187
44.1 deg, d 2.052, I = 198
58.7 deg, d 1.574, I = 276
62.4 deg, d 1.488, I = 275
72.9 deg, d 1.298, I = 153

Structural model:
a b c (Å): 7.9458 7.9458 7.9458
angles (deg): 109.47 109.47 109.47
Atoms (fractional coordinates):
Hf 0.0951 0.2770 0.8181
Hf 0.1819 0.4589 0.2770
Hf 0.1819 0.9049 0.7230
Hf 0.2770 0.1819 0.4589
Hf 0.2770 0.8181 0.0951
Hf 0.4589 0.2770 0.1819
Hf 0.5411 0.7230 0.8181
Hf 0.7230 0.1819 0.9049
Hf 0.7230 0.8181 0.5411
Hf 0.8181 0.0951 0.2770
Hf 0.8181 0.5411 0.7230
Hf 0.9049 0.7230 0.1819
Ga 0.1312 0.5000 0.6312
Ga 0.3688 0.8688 0.5000
Ga 0.5000 0.3688 0.8688
Ga 0.5000 0.6312 0.1312
Ga 0.6312 0.1312 0.5000
Ga 0.8688 0.5000 0.3688
Sb 0.0000 0.0000 0.0000

10.
# NaLaCu
Calculated powder X-ray diffraction pattern, a wavelength of 1.5418 Å. Input: the PBE geometry in Alexandria.
Neutral-atom scattering factors, no anomalous dispersion.

Largest 10 diffraction maxima, low angle first, 2θ from 15° to 90°:
28.3 deg, d 3.150, I = 434
32.9 deg, d 2.722, I = 1000
34.4 deg, d 2.608, I = 581
35.2 deg, d 2.550, I = 141
44.8 deg, d 2.024, I = 210
49.4 deg, d 1.844, I = 203
51.6 deg, d 1.770, I = 104
57.9 deg, d 1.591, I = 119
60.7 deg, d 1.527, I = 325
68.9 deg, d 1.363, I = 110

Structural model:
a b c (Å): 3.6884 3.6884 12.1043
angles (deg): 90.00 90.00 90.00
Atoms (fractional coordinates):
Na 0.2500 0.2500 0.1034
Na 0.7500 0.7500 0.8966
La 0.2500 0.2500 0.3825
La 0.7500 0.7500 0.6175
Cu 0.2500 0.2500 0.7467
Cu 0.7500 0.7500 0.2533

11.
# Er3Te2Rh
Calculated powder X-ray diffraction pattern, a wavelength of 1.5418 Å. Input: the PBE geometry in Alexandria.
Neutral-atom scattering factors, no anomalous dispersion.

Largest 10 diffraction maxima, low angle first, 2θ from 15° to 90°:
29.2 deg, d 3.062, I = 336
30.1 deg, d 2.970, I = 1000
32.4 deg, d 2.766, I = 293
42.4 deg, d 2.132, I = 486
43.1 deg, d 2.100, I = 376
52.9 deg, d 1.732, I = 255
59.6 deg, d 1.552, I = 190
71.0 deg, d 1.328, I = 170
76.3 deg, d 1.248, I = 168
78.5 deg, d 1.218, I = 159

Structural model:
a b c (Å): 4.1998 4.1998 18.3746
angles (deg): 90.00 90.00 90.00
Atoms (fractional coordinates):
Er 0.0000 0.0000 0.0000
Er 0.0000 0.0000 0.3601
Er 0.0000 0.0000 0.6399
Er 0.5000 0.5000 0.1399
Er 0.5000 0.5000 0.5000
Er 0.5000 0.5000 0.8601
Te 0.0000 0.0000 0.1790
Te 0.0000 0.0000 0.8210
Te 0.5000 0.5000 0.3210
Te 0.5000 0.5000 0.6790
Rh 0.0000 0.0000 0.5000
Rh 0.5000 0.5000 0.0000

12.
# DyScPbSe
Calculated powder X-ray diffraction pattern, a wavelength of 1.5418 Å. Input: the PBE geometry in Alexandria.
Neutral-atom scattering factors, no anomalous dispersion.

Largest 10 diffraction maxima, low angle first, 2θ from 15° to 90°:
28.6 deg, d 3.125, I = 806
31.2 deg, d 2.868, I = 457
32.2 deg, d 2.777, I = 208
33.0 deg, d 2.712, I = 1000
37.6 deg, d 2.394, I = 871
48.9 deg, d 1.864, I = 535
49.0 deg, d 1.858, I = 203
59.1 deg, d 1.562, I = 216
59.8 deg, d 1.548, I = 221
67.4 deg, d 1.389, I = 301

Structural model:
a b c (Å): 6.4606 3.7250 8.6067
angles (deg): 90.00 104.56 90.00
Atoms (fractional coordinates):
Dy 0.0000 0.0000 0.0000
Dy 0.5000 0.5000 0.0000
Sc 0.3545 0.5000 0.5661
Sc 0.8545 0.0000 0.5661
Pb 0.4316 0.0000 0.2967
Pb 0.9316 0.5000 0.2967
Se 0.2548 0.0000 0.7663
Se 0.7548 0.5000 0.7663

Please write out number 8 again, unchanged.
# CaAc5PmPr2
Calculated powder X-ray diffraction pattern, a wavelength of 1.5418 Å. Input: the PBE geometry in Alexandria.
Neutral-atom scattering factors, no anomalous dispersion.

Largest 10 diffraction maxima, low angle first, 2θ from 15° to 90°:
24.7 deg, d 3.598, I = 258
25.0 deg, d 3.560, I = 138
28.3 deg, d 3.150, I = 374
29.5 deg, d 3.032, I = 1000
29.9 deg, d 2.991, I = 374
31.8 deg, d 2.816, I = 239
44.2 deg, d 2.050, I = 196
50.8 deg, d 1.799, I = 98
52.8 deg, d 1.734, I = 201
56.7 deg, d 1.623, I = 111

Structural model:
a b c (Å): 11.6456 11.6456 11.2687
angles (deg): 90.00 90.00 150.24
Atoms (fractional coordinates):
Ca 0.0979 0.9021 0.7500
Ca 0.9021 0.0979 0.2500
Ac 0.0000 0.0000 0.0000
Ac 0.0000 0.0000 0.5000
Ac 0.1297 0.8703 0.2500
Ac 0.2194 0.7806 0.5612
Ac 0.2194 0.7806 0.9388
Ac 0.4968 0.5032 0.2500
Ac 0.5032 0.4968 0.7500
Ac 0.7806 0.2194 0.0612
Ac 0.7806 0.2194 0.4388
Ac 0.8703 0.1297 0.7500
Pm 0.3061 0.6939 0.2500
Pm 0.6939 0.3061 0.7500
Pr 0.3855 0.6145 0.5184
Pr 0.3855 0.6145 0.9816
Pr 0.6145 0.3855 0.0184
Pr 0.6145 0.3855 0.4816